The following is a computed powder X-ray diffraction pattern of Pr2SO2. It was derived from the PBE geometry in the Materials Project, using Cu Kα X-rays.

Top 10 peaks for 2θ from 10° to 90°, sorted by position:
d = 3.482 Å, I = 20, (1 0 0); d = 3.451 Å, I = 22, (0 0 2); d = 3.109 Å, I = 100, (1 0 1); d = 2.451 Å, I = 31, (0 1 2); d = 2.010 Å, I = 33, (1 1 0); d = 1.919 Å, I = 25, (1 0 3); d = 1.737 Å, I = 19, (1 1 2); d = 1.688 Å, I = 17, (0 2 1); d = 1.293 Å, I = 14, (2 1 1); d = 1.142 Å, I = 9, (2 1 3)

Atomic structure:
```
data_Pr2SO2
_chemical_formula_sum 'Pr2 S1 O2'
_space_group_name_H-M_alt 'P -3 m 1'
_space_group_IT_number 164
_space_group_name_Hall '-P 3 2"'
_cell_length_a 4.0205
_cell_length_b 4.0205
_cell_length_c 6.9013
_cell_angle_alpha 90.00
_cell_angle_beta 90.00
_cell_angle_gamma 120.00
loop_
_atom_site_label
_atom_site_type_symbol
_atom_site_fract_x
_atom_site_fract_y
_atom_site_fract_z
_atom_site_occupancy
Pr1 Pr 0.3333 0.6667 0.2200 1
S1 S 0.0000 0.0000 0.5000 1
O1 O 0.3333 0.6667 0.8705 1
```